Record 1
Structure and computed X-ray diffraction stick pattern of ZnH8C4N2O6 (a DFT-relaxed cell (PBE, the Materials Project); CuKα).
Kinematic intensities with the Lorentz-polarization factor, no thermal factor.

Principal peaks in the range 5 to 70 degrees two-theta, low angle first:
d (Å)	I_rel	hkl
6.693	100	0 1 1
6.143	28	1 1 -1
6.032	26	1 1 0
5.233	75	0 2 0
4.269	50	1 1 1
3.852	23	2 1 -1
3.794	19	2 0 -2
3.170	31	1 0 2
3.106	21	1 1 -3
2.712	18	1 2 2

Cell lengths 8.292, 10.465, 9.780 Å; angles 90.00, 117.11, 90.00 degrees
Space group P2_1/c (No. 14)
One atom of each set of equivalent atoms:
Zn  0.000  0.000  0.000 (multiplicity 2)
H  0.126  0.059  0.711 (multiplicity 4)
H  0.142  0.197  0.067 (multiplicity 4)
H  0.392  0.074  0.693 (multiplicity 4)
H  0.471  0.529  0.613 (multiplicity 4)
C  0.254  0.037  0.815 (multiplicity 4)
C  0.320  0.142  0.355 (multiplicity 4)
N  0.402  0.044  0.795 (multiplicity 4)
O  0.036  0.164  0.073 (multiplicity 4)
O  0.255  0.009  0.940 (multiplicity 4)
O  0.297  0.066  0.429 (multiplicity 4)

Record 2
Structure and computed X-ray diffraction stick pattern of HfTiRu2 (a DFT-relaxed cell (PBE, the Materials Project); CuKα).
Kinematic intensities with the Lorentz-polarization factor, no thermal factor.

Principal peaks in the range 5 to 70 degrees two-theta, low angle first:
d (Å)	I_rel	hkl
6.283	22	0 0 1
2.842	21	1 0 1
2.253	51	1 1 0
2.237	100	1 0 2
2.121	6	1 1 1
2.094	3	0 0 3
1.593	17	2 0 0
1.571	8	0 0 4
1.534	5	1 1 3
1.390	5	2 1 1

Cell lengths 3.187, 3.187, 6.283 Å; angles 90.00, 90.00, 90.00 degrees
Space group P4/mmm (No. 123)
One atom of each set of equivalent atoms:
Hf  0.000  0.000  0.000 (multiplicity 1)
Ti  0.000  0.000  0.500 (multiplicity 1)
Ru  0.500  0.500  0.260 (multiplicity 2)

Record 3
Structure and computed X-ray diffraction stick pattern of Np3Au (a DFT-relaxed cell (PBE, the Materials Project); CuKα).
Kinematic intensities with the Lorentz-polarization factor, no thermal factor.

Principal peaks in the range 5 to 70 degrees two-theta, low angle first:
d (Å)	I_rel	hkl
5.775	8	1 0 0
2.887	28	2 0 0
2.362	100	2 0 1
2.183	3	2 1 0
2.053	16	0 0 2
1.743	6	3 0 1
1.673	12	2 0 2
1.667	20	2 2 0
1.444	3	4 0 0
1.362	14	4 0 1

Cell lengths 6.6680, 6.6680, 4.1068 Å; angles 90.00, 90.00, 120.00 degrees
Space group P6_3/mmc (No. 194)
One atom of each set of equivalent atoms:
Np  0.1500  0.3000  0.2500 (multiplicity 6)
Au  0.3333  0.6667  0.7500 (multiplicity 2)

Record 4
Structure and computed X-ray diffraction stick pattern of LiCuF3 (a DFT-relaxed cell (PBE, the Materials Project); CuKα).
Kinematic intensities with the Lorentz-polarization factor, no thermal factor.

Principal peaks in the range 5 to 70 degrees two-theta, low angle first:
d (Å)	I_rel	hkl
4.322	32	1 0 1
4.300	15	0 0 2
3.625	100	1 -1 0
2.776	13	1 -1 2
2.329	13	1 2 0
2.245	21	-1 1 3
1.812	24	2 -2 0
1.777	20	2 1 3
1.770	20	2 1 -3
1.497	16	0 3 -3

Cell lengths 4.999, 5.265, 8.601 Å; angles 89.97, 89.73, 89.98 degrees
Space group P1 (No. 1)
One atom of each set of equivalent atoms:
Li  0.000  0.000  0.000 (multiplicity 1)
Li  0.004  0.506  0.529 (multiplicity 1)
Li  0.495  0.019  0.030 (multiplicity 1)
Li  0.502  0.501  0.510 (multiplicity 1)
Cu  0.005  0.502  0.203 (multiplicity 1)
Cu  0.005  0.502  0.850 (multiplicity 1)
Cu  0.505  0.001  0.350 (multiplicity 1)
Cu  0.505  0.001  0.702 (multiplicity 1)
F  0.186  0.323  0.025 (multiplicity 1)
F  0.226  0.358  0.689 (multiplicity 1)
F  0.226  0.363  0.365 (multiplicity 1)
F  0.282  0.861  0.865 (multiplicity 1)
F  0.286  0.854  0.190 (multiplicity 1)
F  0.322  0.827  0.527 (multiplicity 1)
F  0.686  0.177  0.526 (multiplicity 1)
F  0.723  0.152  0.190 (multiplicity 1)
F  0.726  0.143  0.864 (multiplicity 1)
F  0.780  0.642  0.366 (multiplicity 1)
F  0.783  0.647  0.690 (multiplicity 1)
F  0.826  0.675  0.026 (multiplicity 1)

Q: Number 1 is which compound?
A: ZnH8C4N2O6

Q: Which formula does entry 4 have?
A: LiCuF3